Simulated powder diffractogram of CaMg6Bi for a wavelength of 1.5418 Å, from a cell relaxed with GGA-PBE.
No peak broadening, texture or thermal motion is included.

Largest 10 diffraction maxima, most intense first, 10° ≤ 2θ ≤ 90°:
2θ = 36.1°, intensity 100.0; 2θ = 15.8°, intensity 70.9; 2θ = 22.8°, intensity 62.9; 2θ = 15.1°, intensity 55.6; 2θ = 34.7°, intensity 55.6; 2θ = 22.2°, intensity 52.4; 2θ = 16.2°, intensity 50.3; 2θ = 32.8°, intensity 39.9; 2θ = 32.0°, intensity 36.7; 2θ = 46.5°, intensity 36.6

Crystal structure
a = 5.458 Å, b = 6.368 Å, c = 11.758 Å
α = 90.00°, β = 90.00°, γ = 90.00°
Positions (direct):
Ca  0.000  0.000  0.000
Ca  0.000  0.500  0.500
Mg  0.000  0.249  0.248
Mg  0.000  0.251  0.748
Mg  0.000  0.749  0.748
Mg  0.000  0.751  0.248
Mg  0.500  0.000  0.169
Mg  0.500  0.000  0.669
Mg  0.500  0.249  0.408
Mg  0.500  0.251  0.908
Mg  0.500  0.500  0.169
Mg  0.500  0.500  0.669
Mg  0.500  0.749  0.908
Mg  0.500  0.751  0.408
Bi  0.000  0.000  0.496
Bi  0.000  0.500  0.996

Simulated powder diffractogram of CaMg14Bi for a wavelength of 1.5418 Å, from a cell relaxed with GGA-PBE.
No peak broadening, texture or thermal motion is included.

Largest 10 diffraction maxima, most intense first, 10° ≤ 2θ ≤ 90°:
2θ = 36.0°, intensity 100.0; 2θ = 17.8°, intensity 50.5; 2θ = 15.7°, intensity 47.8; 2θ = 23.0°, intensity 42.9; 2θ = 31.6°, intensity 30.0; 2θ = 33.8°, intensity 25.5; 2θ = 37.5°, intensity 20.8; 2θ = 61.9°, intensity 19.8; 2θ = 47.0°, intensity 19.8; 2θ = 67.4°, intensity 19.6

Crystal structure
a = 6.532 Å, b = 6.532 Å, c = 10.601 Å
α = 90.00°, β = 90.00°, γ = 120.00°
Positions (direct):
Ca  0.000  0.000  0.000
Mg  0.004  0.502  0.000
Mg  0.170  0.339  0.251
Mg  0.170  0.339  0.749
Mg  0.170  0.830  0.251
Mg  0.170  0.830  0.749
Mg  0.498  0.502  0.000
Mg  0.498  0.996  0.000
Mg  0.502  0.004  0.500
Mg  0.502  0.498  0.500
Mg  0.661  0.830  0.251
Mg  0.661  0.830  0.749
Mg  0.667  0.333  0.246
Mg  0.667  0.333  0.754
Mg  0.996  0.498  0.500
Bi  0.000  0.000  0.500

Simulated powder diffractogram of CaMg14Bi for a wavelength of 1.5418 Å, from a cell relaxed with GGA-PBE.
No peak broadening, texture or thermal motion is included.

Largest 10 diffraction maxima, most intense first, 10° ≤ 2θ ≤ 90°:
2θ = 36.4°, intensity 100.0; 2θ = 35.6°, intensity 52.0; 2θ = 18.0°, intensity 50.5; 2θ = 32.0°, intensity 42.3; 2θ = 17.6°, intensity 38.6; 2θ = 34.0°, intensity 38.3; 2θ = 15.8°, intensity 32.6; 2θ = 23.2°, intensity 28.4; 2θ = 62.3°, intensity 25.5; 2θ = 15.4°, intensity 24.8

Crystal structure
a = 10.560 Å, b = 6.577 Å, c = 6.577 Å
α = 58.23°, β = 90.00°, γ = 90.00°
Positions (direct):
Ca  0.000  0.000  0.000
Mg  0.000  0.002  0.497
Mg  0.000  0.497  0.002
Mg  0.252  0.668  0.668
Mg  0.256  0.168  0.168
Mg  0.260  0.163  0.664
Mg  0.260  0.664  0.163
Mg  0.500  0.000  0.000
Mg  0.500  0.500  0.500
Mg  0.500  0.500  0.998
Mg  0.500  0.998  0.500
Mg  0.740  0.163  0.664
Mg  0.740  0.664  0.163
Mg  0.744  0.168  0.168
Mg  0.748  0.668  0.668
Bi  0.000  0.496  0.496